[1]
Structure and theoretical X-ray diffraction stick pattern of TcNi (the PBE geometry in the Materials Project; λ = 1.5418 Å (Cu Kα)).
Kinematic intensities with the Lorentz-polarization factor, no thermal factor.

Structure:
```
data_TcNi
_symmetry_space_group_name_H-M 'P -6 m 2'
_symmetry_Int_Tables_number 187
_symmetry_space_group_name_Hall 'P -6 2'
_cell_length_a 2.6542
_cell_length_b 2.6542
_cell_length_c 4.2009
_cell_angle_alpha 90.00
_cell_angle_beta 90.00
_cell_angle_gamma 120.00
loop_
_atom_site_label
_atom_site_fract_x
_atom_site_fract_y
_atom_site_fract_z
Tc1 0.0000 0.0000 0.0000
Ni1 0.3333 0.6667 0.5000
```

Main lines, most intense first (10° ≤ 2θ ≤ 90°):
45.0°, rel. 100, (1 0 1); 39.2°, rel. 28, (1 0 0); 43.1°, rel. 25, (0 0 2); 86.8°, rel. 18, (1 1 2); 80.3°, rel. 17, (1 0 3); 59.6°, rel. 16, (1 0 2)


[2]
Structure and theoretical X-ray diffraction stick pattern of NiTe2 (the PBE geometry in the Materials Project; λ = 1.5418 Å (Cu Kα)).
Kinematic intensities with the Lorentz-polarization factor, no thermal factor.

Structure:
```
data_NiTe2
_symmetry_space_group_name_H-M 'P -3 m 1'
_symmetry_Int_Tables_number 164
_symmetry_space_group_name_Hall '-P 3 2"'
_cell_length_a 3.8995
_cell_length_b 3.8995
_cell_length_c 5.2425
_cell_angle_alpha 90.00
_cell_angle_beta 90.00
_cell_angle_gamma 120.00
loop_
_atom_site_label
_atom_site_fract_x
_atom_site_fract_y
_atom_site_fract_z
Ni1 0.0000 0.0000 0.0000
Te1 0.3333 0.6667 0.2475
```

Main lines, most intense first (10° ≤ 2θ ≤ 90°):
31.5°, rel. 100, (0 1 1); 46.6°, rel. 33, (1 1 0); 43.7°, rel. 29, (0 1 2); 57.3°, rel. 18, (2 0 1); 59.6°, rel. 16, (1 0 3); 76.9°, rel. 15, (1 2 1)


[3]
Structure and theoretical X-ray diffraction stick pattern of Ni3Te4 (the PBE geometry in the Materials Project; λ = 1.5418 Å (Cu Kα)).
Kinematic intensities with the Lorentz-polarization factor, no thermal factor.

Structure:
```
data_Ni3Te4
_symmetry_space_group_name_H-M 'C 1 2/m 1'
_symmetry_Int_Tables_number 12
_cell_length_a 12.513
_cell_length_b 4.013
_cell_length_c 6.753
_cell_angle_alpha 90.00
_cell_angle_beta 122.06
_cell_angle_gamma 90.00
loop_
_symmetry_equiv_pos_as_xyz
'x,y,z'
'-x,-y,-z'
'-x,y,-z'
'x,-y,z'
'x+1/2,y+1/2,z'
'-x+1/2,-y+1/2,-z'
'-x+1/2,y+1/2,-z'
'x+1/2,-y+1/2,z'
loop_
_atom_site_label
_atom_site_fract_x
_atom_site_fract_y
_atom_site_fract_z
Ni1 0.000 0.000 0.000
Ni2 0.248 0.500 0.759
Te1 0.125 0.000 0.784
Te2 0.129 0.500 0.297
```

Main lines, most intense first (10° ≤ 2θ ≤ 90°):
31.0°, rel. 100, (3 1 -1); 46.2°, rel. 66, (3 1 -3); 30.8°, rel. 58, (1 1 1); 43.2°, rel. 55, (5 1 -1); 31.3°, rel. 52, (0 0 2); 45.2°, rel. 36, (0 2 0)


[4]
Structure and theoretical X-ray diffraction stick pattern of Ni3Te2 (the PBE geometry in the Materials Project; λ = 1.5418 Å (Cu Kα)).
Kinematic intensities with the Lorentz-polarization factor, no thermal factor.

Structure:
```
data_Ni3Te2
_symmetry_space_group_name_H-M 'P 1 21/m 1'
_symmetry_Int_Tables_number 11
_cell_length_a 6.103
_cell_length_b 3.804
_cell_length_c 7.537
_cell_angle_alpha 90.00
_cell_angle_beta 91.60
_cell_angle_gamma 90.00
loop_
_symmetry_equiv_pos_as_xyz
'x,y,z'
'-x,-y,-z'
'-x,y+1/2,-z'
'x,-y+1/2,z'
loop_
_atom_site_label
_atom_site_fract_x
_atom_site_fract_y
_atom_site_fract_z
Ni1 0.006 0.250 0.123
Ni2 0.008 0.750 0.371
Ni3 0.290 0.750 0.635
Te1 0.281 0.250 0.881
Te2 0.287 0.250 0.382
```

Main lines, most intense first (10° ≤ 2θ ≤ 90°):
44.6°, rel. 100, (2 1 -2); 45.5°, rel. 66, (2 1 2); 27.6°, rel. 51, (1 1 0); 36.9°, rel. 39, (1 1 2); 47.8°, rel. 34, (0 2 0); 48.3°, rel. 33, (0 0 4)